No. 1
Diffraction record for BaFe2P2O8. The XRD peak list is computed, not measured: it uses a PBE+U-relaxed structure and Cu Kα X-rays.
Neutral-atom scattering factors, no anomalous dispersion.

Principal peaks in the range 10 to 90 degrees two-theta, by angle:
2θ (°), Rel. int.
21.1, 28
22.0, 35
22.3, 23
28.0, 100
33.6, 43
36.3, 66
43.1, 38
65.4, 21

abc: 4.947 8.462 8.560
angles: 70.32 89.97 89.85
Element x y z (fractional)
Ba  0.000  0.000  0.000
Ba  0.499  0.001  0.499
Fe  0.000  0.490  0.167
Fe  0.001  0.511  0.825
Fe  0.499  0.511  0.332
Fe  0.500  0.490  0.674
P  0.000  0.725  0.423
P  0.500  0.276  0.076
P  0.501  0.725  0.926
P  0.998  0.276  0.573
O  0.140  0.341  0.705
O  0.157  0.340  0.405
O  0.200  0.341  0.047
O  0.300  0.660  0.452
O  0.344  0.661  0.094
O  0.358  0.661  0.794
O  0.500  0.084  0.138
O  0.502  0.917  0.861
O  0.638  0.340  0.207
O  0.660  0.341  0.907
O  0.699  0.342  0.545
O  0.801  0.659  0.953
O  0.838  0.660  0.591
O  0.862  0.660  0.291
O  0.998  0.084  0.639
O  0.999  0.917  0.361

No. 2
Diffraction record for BaFe2P2O8. The XRD peak list is computed, not measured: it uses a PBE+U-relaxed structure and Cu Kα X-rays.
Neutral-atom scattering factors, no anomalous dispersion.

Principal peaks in the range 10 to 90 degrees two-theta, by angle:
2θ (°), Rel. int.
22.0, 77
27.7, 74
27.8, 85
28.4, 71
33.2, 55
36.5, 100
37.3, 49
43.1, 40

abc: 4.827 4.923 8.476
angles: 74.33 75.18 60.68
Element x y z (fractional)
Ba  0.000  0.000  0.000
Fe  0.180  0.144  0.493
Fe  0.820  0.856  0.507
P  0.421  0.428  0.723
P  0.579  0.572  0.277
O  0.148  0.442  0.649
O  0.250  0.847  0.336
O  0.355  0.364  0.913
O  0.436  0.751  0.664
O  0.564  0.249  0.336
O  0.645  0.636  0.087
O  0.750  0.153  0.664
O  0.852  0.558  0.351

No. 3
Diffraction record for BaFe2PbO5. The XRD peak list is computed, not measured: it uses a PBE+U-relaxed structure and Cu Kα X-rays.
Neutral-atom scattering factors, no anomalous dispersion.

Principal peaks in the range 10 to 90 degrees two-theta, by angle:
2θ (°), Rel. int.
25.6, 15
30.5, 29
31.6, 100
33.2, 21
45.0, 15
45.7, 23
55.0, 20
58.3, 15

abc: 5.857 4.026 21.607
angles: 90.00 90.00 90.00
Element x y z (fractional)
Ba  0.020  0.250  0.185
Ba  0.480  0.750  0.685
Ba  0.520  0.250  0.315
Ba  0.980  0.750  0.815
Fe  0.019  0.750  0.053
Fe  0.022  0.750  0.313
Fe  0.478  0.250  0.813
Fe  0.481  0.250  0.553
Fe  0.519  0.750  0.447
Fe  0.522  0.750  0.187
Fe  0.978  0.250  0.687
Fe  0.981  0.250  0.947
Pb  0.011  0.250  0.429
Pb  0.489  0.750  0.929
Pb  0.511  0.250  0.071
Pb  0.989  0.750  0.571
O  0.020  0.250  0.323
O  0.059  0.250  0.037
O  0.214  0.250  0.609
O  0.228  0.250  0.750
O  0.233  0.250  0.891
O  0.267  0.750  0.391
O  0.272  0.750  0.250
O  0.286  0.750  0.109
O  0.441  0.750  0.537
O  0.480  0.750  0.823
O  0.520  0.250  0.177
O  0.559  0.250  0.463
O  0.714  0.250  0.891
O  0.728  0.250  0.750
O  0.733  0.250  0.609
O  0.767  0.750  0.109
O  0.772  0.750  0.250
O  0.786  0.750  0.391
O  0.941  0.750  0.963
O  0.980  0.750  0.677

No. 4
Diffraction record for Ba6Pr2Fe4O15. The XRD peak list is computed, not measured: it uses a PBE+U-relaxed structure and Cu Kα X-rays.
Neutral-atom scattering factors, no anomalous dispersion.

Principal peaks in the range 10 to 90 degrees two-theta, by angle:
2θ (°), Rel. int.
28.9, 22
29.1, 21
29.7, 50
29.9, 100
30.2, 23
30.3, 45
36.1, 32
43.1, 18

abc: 11.973 11.973 7.176
angles: 90.18 90.18 119.64
Element x y z (fractional)
Ba  0.001  0.999  0.500
Ba  0.045  0.521  0.826
Ba  0.171  0.347  0.161
Ba  0.172  0.823  0.162
Ba  0.334  0.668  0.475
Ba  0.347  0.171  0.661
Ba  0.521  0.045  0.326
Ba  0.651  0.826  0.161
Ba  0.668  0.334  0.975
Ba  0.823  0.172  0.662
Ba  0.826  0.651  0.661
Ba  0.999  0.001  0.000
Pr  0.477  0.955  0.828
Pr  0.478  0.520  0.833
Pr  0.520  0.478  0.333
Pr  0.955  0.477  0.328
Fe  0.175  0.818  0.663
Fe  0.181  0.358  0.654
Fe  0.333  0.662  0.022
Fe  0.358  0.181  0.154
Fe  0.644  0.816  0.667
Fe  0.662  0.333  0.522
Fe  0.816  0.644  0.167
Fe  0.818  0.175  0.163
O  0.064  0.675  0.507
O  0.068  0.391  0.505
O  0.090  0.897  0.769
O  0.098  0.195  0.764
O  0.174  0.584  0.176
O  0.195  0.098  0.264
O  0.259  0.758  0.838
O  0.260  0.496  0.837
O  0.326  0.935  0.541
O  0.334  0.396  0.523
O  0.391  0.068  0.005
O  0.396  0.334  0.023
O  0.415  0.824  0.156
O  0.418  0.581  0.166
O  0.496  0.260  0.337
O  0.503  0.746  0.842
O  0.581  0.418  0.666
O  0.584  0.174  0.676
O  0.603  0.664  0.530
O  0.605  0.932  0.546
O  0.664  0.603  0.030
O  0.675  0.064  0.007
O  0.746  0.503  0.342
O  0.758  0.259  0.338
O  0.809  0.898  0.767
O  0.824  0.415  0.656
O  0.897  0.090  0.269
O  0.898  0.809  0.267
O  0.932  0.605  0.046
O  0.935  0.326  0.041

No. 5
Diffraction record for BaFe2S2O. The XRD peak list is computed, not measured: it uses a PBE+U-relaxed structure and Cu Kα X-rays.
Neutral-atom scattering factors, no anomalous dispersion.

Principal peaks in the range 10 to 90 degrees two-theta, by angle:
2θ (°), Rel. int.
22.4, 88
27.0, 100
32.4, 28
35.0, 66
35.8, 38
44.0, 24
50.0, 19
54.5, 21

abc: 4.112 9.844 6.689
angles: 90.00 90.00 90.00
Element x y z (fractional)
Ba  0.250  0.250  0.026
Ba  0.750  0.750  0.974
Fe  0.250  0.584  0.378
Fe  0.250  0.916  0.378
Fe  0.750  0.084  0.622
Fe  0.750  0.416  0.622
S  0.250  0.539  0.732
S  0.250  0.961  0.732
S  0.750  0.039  0.268
S  0.750  0.461  0.268
O  0.250  0.750  0.224
O  0.750  0.250  0.776

No. 6
Diffraction record for BaFe2S2O. The XRD peak list is computed, not measured: it uses a PBE+U-relaxed structure and Cu Kα X-rays.
Neutral-atom scattering factors, no anomalous dispersion.

Principal peaks in the range 10 to 90 degrees two-theta, by angle:
2θ (°), Rel. int.
22.3, 95
27.0, 100
32.3, 32
34.7, 72
35.8, 45
38.6, 18
44.0, 25
49.8, 21

abc: 6.680 4.118 9.970
angles: 90.00 90.15 90.00
Element x y z (fractional)
Ba  0.024  0.000  0.251
Ba  0.976  0.500  0.749
Fe  0.366  0.987  0.922
Fe  0.370  0.983  0.582
Fe  0.630  0.483  0.418
Fe  0.634  0.487  0.078
S  0.267  0.495  0.458
S  0.268  0.499  0.045
S  0.732  0.999  0.955
S  0.733  0.995  0.542
O  0.228  0.007  0.751
O  0.772  0.507  0.249